No. 1
Ga3B4Pt9: simulated powder diffractogram (Cu Kα (weighted mean of Kα1 and Kα2)), based on a DFT-relaxed cell (PBE, Alexandria).
Lines closer than 0.1° are merged.

Largest 10 diffraction maxima, sorted by position, 10° ≤ 2θ ≤ 90°:
- 3.000 Å, 2θ = 29.78°, I = 52
- 2.892 Å, 2θ = 30.92°, I = 52
- 2.624 Å, 2θ = 34.18°, I = 39
- 2.551 Å, 2θ = 35.19°, I = 31
- 2.482 Å, 2θ = 36.20°, I = 19
- 2.164 Å, 2θ = 41.75°, I = 100
- 2.122 Å, 2θ = 42.60°, I = 64
- 1.829 Å, 2θ = 49.86°, I = 59
- 1.293 Å, 2θ = 73.21°, I = 22
- 1.266 Å, 2θ = 75.00°, I = 35

Atomic structure:
```
data_Ga3B4Pt9
_chemical_formula_sum 'Ga6 B8 Pt18'
_symmetry_space_group_name_H-M 'P -6 2 c'
_symmetry_Int_Tables_number 190
_symmetry_space_group_name_Hall 'P -6c -2c'
_cell_length_a 8.8357
_cell_length_b 8.8357
_cell_length_c 6.5216
_cell_angle_alpha 90.00
_cell_angle_beta 90.00
_cell_angle_gamma 120.00
loop_
_atom_site_label
_atom_site_type_symbol
_atom_site_fract_x
_atom_site_fract_y
_atom_site_fract_z
Ga1 Ga 0.0520 0.4900 0.2500
B1 B 0.0000 0.8195 0.0000
B2 B 0.3333 0.6667 0.7500
Pt1 Pt 0.0080 0.1850 0.2500
Pt2 Pt 0.1853 0.7267 0.5213
```

***

No. 2
ErScBe2Si2: simulated powder diffractogram (Cu Kα (weighted mean of Kα1 and Kα2)), based on a DFT-relaxed cell (PBE, Alexandria).
Lines closer than 0.1° are merged.

Largest 10 diffraction maxima, sorted by position, 10° ≤ 2θ ≤ 90°:
- 7.673 Å, 2θ = 11.53°, I = 50
- 3.837 Å, 2θ = 23.18°, I = 16
- 3.294 Å, 2θ = 27.07°, I = 54
- 3.027 Å, 2θ = 29.51°, I = 47
- 2.499 Å, 2θ = 35.93°, I = 100
- 1.902 Å, 2θ = 47.82°, I = 28
- 1.658 Å, 2θ = 55.43°, I = 15
- 1.514 Å, 2θ = 61.24°, I = 21
- 1.351 Å, 2θ = 69.61°, I = 18
- 1.184 Å, 2θ = 81.22°, I = 18

Atomic structure:
```
data_ErScBe2Si2
_chemical_formula_sum 'Er1 Sc1 Be2 Si2'
_symmetry_space_group_name_H-M 'P -3 m 1'
_symmetry_Int_Tables_number 164
_symmetry_space_group_name_Hall '-P 3 2"'
_cell_length_a 3.8041
_cell_length_b 3.8041
_cell_length_c 7.6733
_cell_angle_alpha 90.00
_cell_angle_beta 90.00
_cell_angle_gamma 120.00
loop_
_atom_site_label
_atom_site_type_symbol
_atom_site_fract_x
_atom_site_fract_y
_atom_site_fract_z
Er1 Er 0.0000 0.0000 0.0000
Sc1 Sc 0.0000 0.0000 0.5000
Be1 Be 0.3333 0.6667 0.7372
Si1 Si 0.3333 0.6667 0.2616
```